Calculated powder XRD pattern of LaCd4B3Pt12 for Cu Kα (λ = 1.5418 Å), from a PBE-relaxed structure.

The 10 most intense peaks (2θ = 5–70°), most intense first:
| 2θ/deg | Rel. int. |
| --- | --- |
| 34.69 | 100 |
| 40.27 | 62 |
| 58.26 | 38 |
| 69.61 | 32 |
| 19.82 | 12 |
| 47.61 | 8 |
| 37.56 | 8 |
| 42.82 | 6 |
| 31.58 | 5 |
| 45.27 | 3 |

Structural model:
a b c (Å): 7.7588 7.7588 7.7588
angles (deg): 109.47 109.47 109.47
Fractional positions:
La (0.0000, 0.0000, 0.0000)
Cd (0.0000, 0.0000, 0.5000)
Cd (0.0000, 0.5000, 0.0000)
Cd (0.5000, 0.0000, 0.0000)
Cd (0.5000, 0.5000, 0.5000)
B (0.0000, 0.5000, 0.5000)
B (0.5000, 0.0000, 0.5000)
B (0.5000, 0.5000, 0.0000)
Pt (0.0000, 0.2850, 0.2850)
Pt (0.0000, 0.7150, 0.7150)
Pt (0.2500, 0.5000, 0.7500)
Pt (0.2500, 0.7500, 0.5000)
Pt (0.2850, 0.0000, 0.2850)
Pt (0.2850, 0.2850, 0.0000)
Pt (0.5000, 0.2500, 0.7500)
Pt (0.5000, 0.7500, 0.2500)
Pt (0.7150, 0.0000, 0.7150)
Pt (0.7150, 0.7150, 0.0000)
Pt (0.7500, 0.2500, 0.5000)
Pt (0.7500, 0.5000, 0.2500)